(1)
Diffraction record for Nd2P2PdPt. The X-ray powder pattern is simulated, not measured: it uses the GGA-PBE geometry in OQMD and Cu Kα, 1.54184 Å.
Intensities are scaled so that the largest is 100.

Top 10 peaks for 15° ≤ 2θ ≤ 90°, low angle first:
hkl  two_theta  I (rel.)
1 0 0  24.5  8
1 0 1  26.9  33
1 0 2  33.2  100
1 0 3  41.9  11
1 1 0  43.0  46
0 0 4  45.2  13
2 0 2  55.4  23
1 1 4  64.2  28
2 1 2  72.6  21
1 0 6  75.7  9

Structural model:
Unit cell a=4.2038 b=4.2038 c=8.0295 alpha=90.00 beta=90.00 gamma=120.00
Space group P-6m2 (No. 187)
One atom of each set of equivalent atoms:
Nd  0.0000  0.0000  0.2494 x2
P  0.3333  0.6667  0.5000 x1
P  0.6667  0.3333  0.0000 x1
Pd  0.3333  0.6667  0.0000 x1
Pt  0.6667  0.3333  0.5000 x1

---

(2)
Diffraction record for NdDySb2Te2. The X-ray powder pattern is simulated, not measured: it uses the GGA-PBE geometry in OQMD and Cu Kα, 1.54184 Å.
Intensities are scaled so that the largest is 100.

Top 10 peaks for 15° ≤ 2θ ≤ 90°, low angle first:
hkl  two_theta  I (rel.)
0 0 3  28.5  43
1 1 0  29.2  25
1 1 1  30.8  100
1 1 2  35.1  92
1 0 3  35.4  64
2 0 0  41.8  63
2 0 3  51.4  33
2 1 3  56.0  34
2 2 0  60.7  21
3 1 2  72.0  22

Structural model:
Unit cell a=4.318 b=4.318 c=9.384 alpha=90.00 beta=90.00 gamma=90.00
Space group P4mm (No. 99)
One atom of each set of equivalent atoms:
Nd  0.000  0.000  0.000 x1
Dy  0.500  0.500  0.451 x1
Sb  0.000  0.500  0.722 x2
Te  0.000  0.000  0.355 x1
Te  0.500  0.500  0.107 x1

---

(3)
Diffraction record for Nd4BIBr4. The X-ray powder pattern is simulated, not measured: it uses the GGA-PBE geometry in OQMD and Cu Kα, 1.54184 Å.
Intensities are scaled so that the largest is 100.

Top 10 peaks for 15° ≤ 2θ ≤ 90°, low angle first:
hkl  two_theta  I (rel.)
2 0 1  15.8  12
3 1 -1  26.9  15
1 1 -2  29.6  100
6 0 0  29.8  37
4 0 -3  32.8  16
2 0 -4  40.6  13
5 1 2  42.3  25
7 1 -2  42.6  25
0 2 0  44.0  15
6 2 0  54.0  14

Structural model:
Unit cell a=18.512 b=4.117 c=8.885 alpha=90.00 beta=103.43 gamma=90.00
Space group C2/m (No. 12)
One atom of each set of equivalent atoms:
Nd  0.001  0.000  0.298 x4
Nd  0.145  0.500  0.576 x4
B  0.000  0.500  0.500 x2
I  0.000  0.500  0.000 x2
Br  0.166  0.000  0.823 x4
Br  0.171  0.000  0.344 x4

---

(4)
Diffraction record for Y2ErFe2Ni7. The X-ray powder pattern is simulated, not measured: it uses the GGA-PBE geometry in OQMD and Cu Kα, 1.54184 Å.
Intensities are scaled so that the largest is 100.

Top 10 peaks for 15° ≤ 2θ ≤ 90°, low angle first:
hkl  two_theta  I (rel.)
1 0 7  33.1  34
1 1 0  36.0  34
0 1 8  36.2  31
0 2 1  42.0  34
1 1 6  42.6  100
0 0 12  44.8  15
2 0 5  46.0  12
1 2 8  64.9  11
0 3 6  69.3  26
2 2 0  76.4  18

Structural model:
Unit cell a=4.9872 b=4.9872 c=24.2800 alpha=90.00 beta=90.00 gamma=120.00
Space group R-3m (No. 166, hexagonal axes)
One atom of each set of equivalent atoms:
Y  0.0000  0.0000  0.1383 x6
Er  0.0000  0.0000  0.0000 x3
Fe  0.0000  0.0000  0.3325 x6
Ni  0.0000  0.0000  0.5000 x3
Ni  0.0012  0.5006  0.0808 x18